# 1
Calculated powder XRD pattern
Compound: SrAc4Se5
Radiation: copper Kα
Structure: a GGA-PBE-relaxed structure
Neutral-atom scattering factors, no anomalous dispersion.

Structure:
```
data_SrAc4Se5
_chemical_formula_sum 'Sr1 Ac4 Se5'
_cell_length_a 6.313
_cell_length_b 7.714
_cell_length_c 7.724
_cell_angle_alpha 80.58
_cell_angle_beta 66.00
_cell_angle_gamma 65.94
_space_group_name_H-M_alt 'P -1'
_space_group_IT_number 2
loop_
_space_group_symop_operation_xyz
'x,y,z'
'-x,-y,-z'
loop_
_atom_site_label
_atom_site_fract_x
_atom_site_fract_y
_atom_site_fract_z
Sr1 0.000 0.000 0.000
Ac1 0.198 0.202 0.401
Ac2 0.401 0.401 0.798
Se1 0.098 0.605 0.196
Se2 0.296 0.804 0.605
Se3 0.500 0.000 0.000
```

Peak list (10 most intense, 5° ≤ 2θ ≤ 70°, by intensity)
2θ 28.3, rel. 100, (2 1 1); 2θ 40.4, rel. 52, (2 3 0); 2θ 24.4, rel. 34, (1 2 1); 2θ 40.5, rel. 26, (2 2 3); 2θ 66.2, rel. 21, (4 4 1); 2θ 50.1, rel. 21, (2 0 4); 2θ 47.8, rel. 12, (1 1 4); 2θ 66.3, rel. 9, (4 3 4); 2θ 58.5, rel. 9, (4 2 2); 2θ 50.2, rel. 7, (2 4 2)

# 2
Calculated powder XRD pattern
Compound: SrAc2Se4
Radiation: copper Kα
Structure: a GGA-PBE-relaxed structure
Neutral-atom scattering factors, no anomalous dispersion.

Structure:
```
data_SrAc2Se4
_chemical_formula_sum 'Sr4 Ac8 Se16'
_cell_length_a 9.384
_cell_length_b 9.384
_cell_length_c 9.400
_cell_angle_alpha 90.00
_cell_angle_beta 90.00
_cell_angle_gamma 90.00
_space_group_name_H-M_alt 'I -4 2 d'
_space_group_IT_number 122
_space_group_name_Hall 'I -4 2bw'
loop_
_atom_site_label
_atom_site_fract_x
_atom_site_fract_y
_atom_site_fract_z
Sr1 0.000 0.000 0.000
Ac1 0.130 0.750 0.625
Se1 0.075 0.676 0.947
```

Peak list (10 most intense, 5° ≤ 2θ ≤ 70°, by intensity)
2θ 30.1, rel. 100, (3 1 0); 2θ 35.8, rel. 73, (2 1 3); 2θ 23.2, rel. 47, (1 1 2); 2θ 43.1, rel. 30, (4 0 2); 2θ 60.8, rel. 26, (1 1 6); 2θ 49.5, rel. 23, (3 1 4); 2θ 45.3, rel. 20, (3 2 3); 2θ 64.3, rel. 16, (5 1 4); 2θ 47.4, rel. 11, (4 2 2); 2θ 13.3, rel. 11, (1 0 1)

# 3
Calculated powder XRD pattern
Compound: SrAc5Se8
Radiation: copper Kα
Structure: a GGA-PBE-relaxed structure
Neutral-atom scattering factors, no anomalous dispersion.

Structure:
```
data_SrAc5Se8
_chemical_formula_sum 'Sr2 Ac10 Se16'
_cell_length_a 9.391
_cell_length_b 9.391
_cell_length_c 9.388
_cell_angle_alpha 90.00
_cell_angle_beta 90.00
_cell_angle_gamma 90.00
_space_group_name_H-M_alt 'I -4'
_space_group_IT_number 82
loop_
_space_group_symop_operation_xyz
'x,y,z'
'y,-x,-z'
'-x,-y,z'
'-y,x,-z'
'x+1/2,y+1/2,z+1/2'
'y+1/2,-x+1/2,-z+1/2'
'-x+1/2,-y+1/2,z+1/2'
'-y+1/2,x+1/2,-z+1/2'
loop_
_atom_site_label
_atom_site_fract_x
_atom_site_fract_y
_atom_site_fract_z
Sr1 0.000 0.000 0.000
Ac1 0.000 0.500 0.250
Ac2 0.128 0.751 0.629
Se1 0.073 0.675 0.953
Se2 0.077 0.825 0.304
```

Peak list (10 most intense, 5° ≤ 2θ ≤ 70°, by intensity)
2θ 30.1, rel. 100, (1 3 0); 2θ 35.8, rel. 68, (1 2 3); 2θ 23.2, rel. 53, (2 1 1); 2θ 60.8, rel. 37, (1 6 1); 2θ 43.1, rel. 32, (4 0 2); 2θ 49.5, rel. 24, (3 1 4); 2θ 45.3, rel. 21, (2 3 3); 2θ 64.3, rel. 16, (1 5 4); 2θ 47.4, rel. 11, (4 2 2); 2θ 62.6, rel. 10, (6 0 2)

# 4
Calculated powder XRD pattern
Compound: Sr4AcSe5
Radiation: copper Kα
Structure: a GGA-PBE-relaxed structure
Neutral-atom scattering factors, no anomalous dispersion.

Structure:
```
data_Sr4AcSe5
_chemical_formula_sum 'Sr8 Ac2 Se10'
_cell_length_a 4.449
_cell_length_b 4.449
_cell_length_c 31.530
_cell_angle_alpha 90.00
_cell_angle_beta 90.00
_cell_angle_gamma 90.00
_space_group_name_H-M_alt 'I 4/m m m'
_space_group_IT_number 139
_space_group_name_Hall '-I 4 2'
loop_
_atom_site_label
_atom_site_fract_x
_atom_site_fract_y
_atom_site_fract_z
Sr1 0.000 0.000 0.101
Sr2 0.000 0.000 0.300
Ac1 0.000 0.000 0.500
Se1 0.000 0.000 0.000
Se2 0.000 0.000 0.200
Se3 0.000 0.000 0.400
```

Peak list (10 most intense, 5° ≤ 2θ ≤ 70°, by intensity)
2θ 28.3, rel. 100, (1 1 0); 2θ 40.5, rel. 76, (2 0 0); 2θ 50.2, rel. 28, (2 0 10); 2θ 66.4, rel. 23, (3 1 0); 2θ 5.6, rel. 19, (0 0 2); 2θ 66.3, rel. 12, (1 1 20); 2θ 58.7, rel. 8, (2 2 0); 2θ 24.5, rel. 6, (1 0 5); 2θ 20.2, rel. 5, (1 0 1); 2θ 21.7, rel. 5, (1 0 3)

# 5
Calculated powder XRD pattern
Compound: SrAc2USe6
Radiation: copper Kα
Structure: a GGA-PBE-relaxed structure
Neutral-atom scattering factors, no anomalous dispersion.

Structure:
```
data_SrAc2USe6
_chemical_formula_sum 'Sr1 Ac2 U1 Se6'
_cell_length_a 7.715
_cell_length_b 7.717
_cell_length_c 8.058
_cell_angle_alpha 61.40
_cell_angle_beta 61.43
_cell_angle_gamma 60.03
_space_group_name_H-M_alt 'P 1'
_space_group_IT_number 1
loop_
_space_group_symop_operation_xyz
'x,y,z'
loop_
_atom_site_label
_atom_site_fract_x
_atom_site_fract_y
_atom_site_fract_z
Sr1 0.000 0.000 0.000
Ac1 0.286 0.286 0.143
Ac2 0.793 0.793 0.623
U1 0.490 0.491 0.528
Se1 0.119 0.393 0.804
Se2 0.223 0.856 0.313
Se3 0.393 0.685 0.803
Se4 0.610 0.223 0.313
Se5 0.684 0.119 0.804
Se6 0.856 0.609 0.313
```

Peak list (10 most intense, 5° ≤ 2θ ≤ 70°, by intensity)
2θ 35.4, rel. 100, (2 1 -1); 2θ 22.1, rel. 85, (1 1 2); 2θ 40.5, rel. 71, (3 3 2); 2θ 23.1, rel. 69, (2 1 1); 2θ 32.1, rel. 60, (2 0 2); 2θ 39.9, rel. 56, (2 3 3); 2θ 26.6, rel. 55, (1 2 2); 2θ 15.9, rel. 49, (1 1 0); 2θ 47.1, rel. 37, (1 1 4); 2θ 54.9, rel. 26, (2 4 0)

# 6
Calculated powder XRD pattern
Compound: AcTa4Se8
Radiation: copper Kα
Structure: a GGA-PBE-relaxed structure
Neutral-atom scattering factors, no anomalous dispersion.

Structure:
```
data_AcTa4Se8
_chemical_formula_sum 'Ac3 Ta12 Se24'
_cell_length_a 7.0616
_cell_length_b 7.0616
_cell_length_c 23.0754
_cell_angle_alpha 90.00
_cell_angle_beta 90.00
_cell_angle_gamma 120.00
_space_group_name_H-M_alt 'R -3 m'
_space_group_IT_number 166
_space_group_name_Hall '-R 3 2"'
loop_
_atom_site_label
_atom_site_fract_x
_atom_site_fract_y
_atom_site_fract_z
Ac1 0.0000 0.0000 0.0000
Ta1 0.0000 0.0000 0.5000
Ta2 0.0000 0.5000 0.5000
Se1 0.0000 0.0000 0.2386
Se2 0.0096 0.5048 0.2389
```

Peak list (10 most intense, 5° ≤ 2θ ≤ 70°, by intensity)
2θ 33.2, rel. 100, (0 2 4); 2θ 11.5, rel. 67, (0 0 3); 2θ 43.1, rel. 44, (2 0 8); 2θ 51.8, rel. 29, (2 2 0); 2θ 62.9, rel. 16, (4 0 4); 2θ 40.2, rel. 16, (0 2 7); 2θ 29.5, rel. 11, (0 2 1); 2θ 16.4, rel. 11, (0 1 2); 2θ 15.0, rel. 11, (1 0 1); 2θ 69.6, rel. 11, (0 4 8)

# 7
Calculated powder XRD pattern
Compound: Ac2TaSe6
Radiation: copper Kα
Structure: a GGA-PBE-relaxed structure
Neutral-atom scattering factors, no anomalous dispersion.

Structure:
```
data_Ac2TaSe6
_chemical_formula_sum 'Ac4 Ta2 Se12'
_cell_length_a 6.458
_cell_length_b 8.068
_cell_length_c 11.520
_cell_angle_alpha 90.00
_cell_angle_beta 122.29
_cell_angle_gamma 90.00
_space_group_name_H-M_alt 'P 1 21/c 1'
_space_group_IT_number 14
loop_
_space_group_symop_operation_xyz
'x,y,z'
'-x,-y,-z'
'-x,y+1/2,-z+1/2'
'x,-y+1/2,z+1/2'
loop_
_atom_site_label
_atom_site_fract_x
_atom_site_fract_y
_atom_site_fract_z
Ac1 0.204 0.108 0.260
Ta1 0.500 0.000 0.000
Se1 0.120 0.164 0.958
Se2 0.294 0.710 0.957
Se3 0.321 0.018 0.740
```

Peak list (10 most intense, 5° ≤ 2θ ≤ 70°, by intensity)
2θ 31.0, rel. 100, (2 1 -1); 2θ 36.2, rel. 98, (1 3 -1); 2θ 36.9, rel. 96, (0 0 4); 2θ 16.7, rel. 91, (1 0 -2); 2θ 35.6, rel. 90, (2 2 -2); 2θ 14.3, rel. 82, (0 1 1); 2θ 23.9, rel. 78, (0 2 1); 2θ 35.5, rel. 75, (0 2 3); 2θ 37.3, rel. 66, (1 3 0); 2θ 20.0, rel. 63, (1 1 -2)

# 8
Calculated powder XRD pattern
Compound: AcTaSe6
Radiation: copper Kα
Structure: a GGA-PBE-relaxed structure
Neutral-atom scattering factors, no anomalous dispersion.

Structure:
```
data_AcTaSe6
_chemical_formula_sum 'Ac2 Ta2 Se12'
_cell_length_a 10.577
_cell_length_b 7.685
_cell_length_c 7.820
_cell_angle_alpha 90.00
_cell_angle_beta 127.22
_cell_angle_gamma 90.00
_space_group_name_H-M_alt 'C 1 2/m 1'
_space_group_IT_number 12
loop_
_space_group_symop_operation_xyz
'x,y,z'
'-x,-y,-z'
'-x,y,-z'
'x,-y,z'
'x+1/2,y+1/2,z'
'-x+1/2,-y+1/2,-z'
'-x+1/2,y+1/2,-z'
'x+1/2,-y+1/2,z'
loop_
_atom_site_label
_atom_site_fract_x
_atom_site_fract_y
_atom_site_fract_z
Ac1 0.000 0.000 0.000
Ta1 0.000 0.000 0.500
Se1 0.106 0.250 0.383
Se2 0.235 0.000 0.883
```

Peak list (10 most intense, 5° ≤ 2θ ≤ 70°, by intensity)
2θ 15.6, rel. 100, (1 1 0); 2θ 32.9, rel. 42, (2 2 -2); 2θ 29.4, rel. 39, (3 1 -2); 2θ 27.3, rel. 25, (0 2 1); 2θ 28.7, rel. 23, (0 0 2); 2θ 49.4, rel. 22, (4 2 0); 2θ 41.6, rel. 22, (4 2 -2); 2θ 38.2, rel. 20, (1 1 2); 2θ 34.0, rel. 15, (3 1 0); 2θ 21.1, rel. 15, (2 0 0)

- Number 2 is which compound?
  SrAc2Se4

- What is the formula in the second record?
  SrAc2Se4